Calculated powder diffraction line list
Compound: UTaZnO6
Radiation: λ = 1.5418 Å (Cu Kα)
Structure: the PBE geometry in Alexandria
Neutral-atom scattering factors, no anomalous dispersion.

Structure:
```
data_UTaZnO6
_cell_length_a 5.2877
_cell_length_b 5.2877
_cell_length_c 9.2489
_cell_angle_alpha 90.00
_cell_angle_beta 90.00
_cell_angle_gamma 120.00
_space_group_name_H-M_alt 'P -3 1 c'
_space_group_IT_number 163
_space_group_name_Hall '-P 3 2c'
loop_
_atom_site_label
_atom_site_type_symbol
_atom_site_fract_x
_atom_site_fract_y
_atom_site_fract_z
U1 U 0.3333 0.6667 0.2500
Ta1 Ta 0.0000 0.0000 0.0000
Zn1 Zn 0.3333 0.6667 0.7500
O1 O 0.0018 0.3150 0.6238
```

Top 10 peaks for 2θ from 5° to 70°, in order of rising 2θ:
hkl	2θ (°)	I_rel
1 0 1	21.66	29
1 0 2	27.41	100
1 1 0	33.91	49
1 0 3	35.09	9
0 0 4	38.95	9
2 0 2	44.14	28
2 -1 4	52.58	42
3 -1 2	56.80	27
3 0 0	60.67	16
1 0 6	63.70	10